Structure and calculated powder XRD pattern of InNi10 (the GGA-PBE geometry in OQMD; copper Kα).

Atomic structure:
Cell lengths 7.784, 3.499, 29.529 Å; angles 90.00, 90.13, 90.00 degrees
Space group C2/m (No. 12)
One atom of each set of equivalent atoms:
In 0.153 0.000 0.208 (multiplicity 4)
Ni 0.047 0.500 0.274 (multiplicity 4)
Ni 0.050 0.000 0.407 (multiplicity 4)
Ni 0.050 0.500 0.540 (multiplicity 4)
Ni 0.052 0.000 0.672 (multiplicity 4)
Ni 0.149 0.000 0.752 (multiplicity 4)
Ni 0.149 0.500 0.354 (multiplicity 4)
Ni 0.150 0.000 0.487 (multiplicity 4)
Ni 0.150 0.500 0.619 (multiplicity 4)
Ni 0.248 0.000 0.301 (multiplicity 4)
Ni 0.250 0.000 0.566 (multiplicity 4)

Principal peaks in the range 5° ≤ 2θ ≤ 70°, in order of falling intensity:
| h k l | Position (°2θ) | I (rel.) |
| --- | --- | --- |
| 0 0 2 | 5.99 | 100 |
| 1 1 11 | 44.10 | 52 |
| 3 1 -4 | 45.19 | 46 |
| 3 1 -3 | 44.41 | 27 |
| 0 2 0 | 52.32 | 23 |
| 1 1 12 | 46.63 | 16 |
| 2 0 -15 | 52.01 | 14 |
| 4 0 7 | 51.78 | 13 |
| 0 0 4 | 11.99 | 11 |
| 4 0 8 | 53.27 | 9 |

=====

Structure and calculated powder XRD pattern of CsCd13 (the GGA-PBE geometry in OQMD; copper Kα).

Atomic structure:
Cell lengths 13.962, 13.962, 13.962 Å; angles 90.00, 90.00, 90.00 degrees
Space group Fm-3c (No. 226)
One atom of each set of equivalent atoms:
Cs 0.250 0.250 0.250 (multiplicity 8)
Cd 0.000 0.000 0.000 (multiplicity 8)
Cd 0.000 0.121 0.180 (multiplicity 96)

Principal peaks in the range 5° ≤ 2θ ≤ 70°, in order of falling intensity:
| h k l | Position (°2θ) | I (rel.) |
| --- | --- | --- |
| 5 3 1 | 38.13 | 100 |
| 4 2 2 | 31.39 | 62 |
| 6 0 0 | 38.70 | 36 |
| 4 2 0 | 28.59 | 23 |
| 7 5 3 | 60.40 | 19 |
| 2 0 0 | 12.68 | 15 |
| 8 4 4 | 65.51 | 12 |
| 6 2 0 | 40.88 | 11 |
| 9 3 1 | 63.57 | 9 |
| 6 4 4 | 54.17 | 9 |

=====

Structure and calculated powder XRD pattern of KOsCl4O (the GGA-PBE geometry in OQMD; copper Kα).

Atomic structure:
Cell lengths 13.344, 3.726, 7.302 Å; angles 90.00, 107.38, 90.00 degrees
Space group C2 (No. 5)
One atom of each set of equivalent atoms:
K 0.000 0.000 0.000 (multiplicity 2)
Os 0.000 0.497 0.500 (multiplicity 2)
Cl 0.130 0.495 0.341 (multiplicity 4)
Cl 0.132 0.495 0.800 (multiplicity 4)
O 0.000 0.996 0.500 (multiplicity 2)

Principal peaks in the range 5° ≤ 2θ ≤ 70°, in order of falling intensity:
| h k l | Position (°2θ) | I (rel.) |
| --- | --- | --- |
| 2 0 0 | 13.91 | 100 |
| 0 0 1 | 12.70 | 69 |
| 4 0 -2 | 31.95 | 50 |
| 1 1 0 | 24.90 | 49 |
| 1 1 -1 | 27.06 | 47 |
| 2 0 -1 | 15.80 | 38 |
| 2 0 2 | 32.78 | 30 |
| 1 1 1 | 29.01 | 29 |
| 3 1 2 | 45.37 | 17 |
| 2 0 1 | 21.53 | 15 |

=====

Structure and calculated powder XRD pattern of NdTh (the GGA-PBE geometry in OQMD; copper Kα).

Atomic structure:
Cell lengths 3.5926, 3.5926, 6.0186 Å; angles 90.00, 90.00, 120.00 degrees
Space group P-6m2 (No. 187)
One atom of each set of equivalent atoms:
Nd 0.0000 0.0000 0.0000 (multiplicity 1)
Th 0.6667 0.3333 0.5000 (multiplicity 1)

Principal peaks in the range 5° ≤ 2θ ≤ 70°, in order of falling intensity:
| h k l | Position (°2θ) | I (rel.) |
| --- | --- | --- |
| 1 0 1 | 32.39 | 100 |
| 0 0 2 | 29.69 | 27 |
| 1 0 0 | 28.69 | 25 |
| 1 0 3 | 54.42 | 24 |
| 1 1 2 | 59.98 | 23 |
| 0 0 4 | 61.59 | 20 |
| 1 0 2 | 41.76 | 19 |
| 1 1 0 | 50.83 | 19 |
| 0 0 1 | 14.72 | 6 |
| 2 0 2 | 67.82 | 5 |

=====

Structure and calculated powder XRD pattern of AgHgSO (the GGA-PBE geometry in OQMD; copper Kα).

Atomic structure:
Cell lengths 6.235, 7.618, 6.009 Å; angles 90.00, 90.00, 90.00 degrees
Space group Pca2_1 (No. 29)
One atom of each set of equivalent atoms:
Ag 0.250 0.090 0.000 (multiplicity 4)
Hg 0.094 0.641 0.248 (multiplicity 4)
S 0.038 0.325 0.249 (multiplicity 4)
O 0.027 0.920 0.250 (multiplicity 4)

Principal peaks in the range 5° ≤ 2θ ≤ 70°, in order of falling intensity:
| h k l | Position (°2θ) | I (rel.) |
| --- | --- | --- |
| 1 2 0 | 27.44 | 100 |
| 0 1 2 | 32.02 | 81 |
| 1 1 1 | 23.65 | 78 |
| 2 0 1 | 32.35 | 68 |
| 1 2 1 | 31.29 | 52 |
| 1 1 2 | 35.19 | 51 |
| 3 2 2 | 59.27 | 50 |
| 2 0 2 | 41.75 | 42 |
| 1 3 2 | 49.22 | 39 |
| 2 1 1 | 34.48 | 39 |

=====

Structure and calculated powder XRD pattern of Dy2Sc2CBr5 (the GGA-PBE geometry in OQMD; copper Kα).

Atomic structure:
Cell lengths 17.633, 3.714, 8.108 Å; angles 90.00, 102.84, 90.00 degrees
Space group C2/m (No. 12)
One atom of each set of equivalent atoms:
Dy 0.001 0.000 0.298 (multiplicity 4)
Sc 0.131 0.500 0.567 (multiplicity 4)
C 0.000 0.500 0.500 (multiplicity 2)
Br 0.000 0.500 0.000 (multiplicity 2)
Br 0.166 0.000 0.819 (multiplicity 4)
Br 0.169 0.000 0.347 (multiplicity 4)

Principal peaks in the range 5° ≤ 2θ ≤ 70°, in order of falling intensity:
| h k l | Position (°2θ) | I (rel.) |
| --- | --- | --- |
| 1 1 -2 | 32.70 | 100 |
| 2 0 0 | 10.29 | 71 |
| 6 0 0 | 31.21 | 55 |
| 1 1 0 | 24.52 | 37 |
| 5 1 0 | 35.57 | 36 |
| 7 1 -2 | 45.96 | 32 |
| 5 1 2 | 45.71 | 31 |
| 0 0 2 | 22.53 | 31 |
| 0 0 1 | 11.19 | 20 |
| 0 2 0 | 49.06 | 18 |

=====

Structure and calculated powder XRD pattern of SmInHgO3 (the GGA-PBE geometry in OQMD; copper Kα).

Atomic structure:
Cell lengths 3.553, 14.241, 8.396 Å; angles 90.00, 90.00, 90.00 degrees
Space group Cmcm (No. 63)
One atom of each set of equivalent atoms:
Sm 0.000 0.000 0.000 (multiplicity 4)
In 0.000 0.347 0.250 (multiplicity 4)
Hg 0.000 0.309 0.750 (multiplicity 4)
O 0.000 0.064 0.750 (multiplicity 4)
O 0.000 0.395 0.518 (multiplicity 8)

Principal peaks in the range 5° ≤ 2θ ≤ 70°, in order of falling intensity:
| h k l | Position (°2θ) | I (rel.) |
| --- | --- | --- |
| 1 3 0 | 31.45 | 100 |
| 0 2 2 | 24.62 | 97 |
| 1 5 2 | 46.22 | 50 |
| 1 1 2 | 33.64 | 48 |
| 1 3 4 | 54.31 | 42 |
| 0 0 4 | 43.09 | 26 |
| 2 2 2 | 57.82 | 19 |
| 0 6 0 | 37.91 | 16 |
| 2 0 0 | 51.43 | 15 |
| 0 4 2 | 32.99 | 15 |

=====

Structure and calculated powder XRD pattern of LiGaAgSn (the GGA-PBE geometry in OQMD; copper Kα).

Atomic structure:
Cell lengths 6.810, 6.810, 6.810 Å; angles 90.00, 90.00, 90.00 degrees
Space group F-43m (No. 216)
One atom of each set of equivalent atoms:
Li 0.000 0.000 0.000 (multiplicity 4)
Ga 0.250 0.250 0.750 (multiplicity 4)
Ag 0.250 0.250 0.250 (multiplicity 4)
Sn 0.000 0.000 0.500 (multiplicity 4)

Principal peaks in the range 5° ≤ 2θ ≤ 70°, in order of falling intensity:
| h k l | Position (°2θ) | I (rel.) |
| --- | --- | --- |
| 2 2 0 | 37.35 | 100 |
| 1 1 1 | 22.61 | 37 |
| 4 2 2 | 67.36 | 35 |
| 3 1 1 | 44.10 | 20 |
| 4 0 0 | 53.85 | 17 |
| 3 3 1 | 59.13 | 8 |
| 2 0 0 | 26.17 | 5 |
| 4 2 0 | 60.83 | 1 |
| 2 2 2 | 46.18 | 1 |

=====

Structure and calculated powder XRD pattern of CsCu2AsS3 (the GGA-PBE geometry in OQMD; copper Kα).

Atomic structure:
Cell lengths 9.536, 10.458, 13.702 Å; angles 90.00, 90.00, 90.00 degrees
Space group Pbca (No. 61)
One atom of each set of equivalent atoms:
Cs 0.183 0.105 0.059 (multiplicity 8)
Cu 0.076 0.104 0.360 (multiplicity 8)
Cu 0.115 0.060 0.774 (multiplicity 8)
As 0.163 0.683 0.785 (multiplicity 8)
S 0.013 0.092 0.622 (multiplicity 8)
S 0.037 0.707 0.644 (multiplicity 8)
S 0.188 0.616 0.353 (multiplicity 8)

Principal peaks in the range 5° ≤ 2θ ≤ 70°, in order of falling intensity:
| h k l | Position (°2θ) | I (rel.) |
| --- | --- | --- |
| 0 2 3 | 25.90 | 100 |
| 1 0 4 | 27.67 | 89 |
| 2 3 0 | 31.80 | 63 |
| 1 2 1 | 20.43 | 50 |
| 2 1 3 | 28.37 | 48 |
| 3 1 1 | 30.10 | 45 |
| 2 2 3 | 32.11 | 42 |
| 1 2 7 | 50.71 | 38 |
| 2 3 1 | 32.48 | 35 |
| 2 1 2 | 24.28 | 31 |